Computed X-ray powder pattern
Compound: Pr4Nd4Er3
Radiation: Cu Kα X-rays
Structure: a cell relaxed with GGA-PBE
No peak broadening, texture or thermal motion is included.

Top 10 peaks for 2θ from 10° to 90°, low angle first:
| Position (°2θ) | d/Å | intensity |
| --- | --- | --- |
| 30.28 | 2.952 | 295 |
| 30.98 | 2.887 | 1000 |
| 31.19 | 2.867 | 697 |
| 43.89 | 2.063 | 214 |
| 45.15 | 2.008 | 125 |
| 55.28 | 1.662 | 139 |
| 55.78 | 1.648 | 133 |
| 60.81 | 1.523 | 107 |
| 60.92 | 1.521 | 206 |
| 78.45 | 1.219 | 99 |

Cell lengths 3.5878, 5.7678, 18.4872 Å; angles 81.09, 84.43, 89.99 degrees
Fractional coordinates of all 11 atoms:
Pr: 0.0903 0.0913 0.3191
Pr: 0.2313 0.7314 0.0373
Pr: 0.7687 0.2686 0.9627
Pr: 0.9097 0.9087 0.6809
Nd: 0.0455 0.5468 0.4088
Nd: 0.1802 0.1805 0.1395
Nd: 0.8198 0.8195 0.8605
Nd: 0.9545 0.4532 0.5912
Er: 0.3650 0.3642 0.7706
Er: 0.5000 0.0000 0.5000
Er: 0.6350 0.6358 0.2294

=====

Computed X-ray powder pattern
Compound: TlBi2Pd8
Radiation: Cu Kα X-rays
Structure: a cell relaxed with GGA-PBE
No peak broadening, texture or thermal motion is included.

Top 10 peaks for 2θ from 10° to 90°, low angle first:
| Position (°2θ) | d/Å | intensity |
| --- | --- | --- |
| 23.76 | 3.745 | 87 |
| 28.94 | 3.085 | 130 |
| 36.77 | 2.444 | 149 |
| 38.84 | 2.319 | 1000 |
| 39.04 | 2.307 | 89 |
| 40.79 | 2.212 | 267 |
| 42.02 | 2.150 | 176 |
| 52.00 | 1.759 | 81 |
| 59.99 | 1.542 | 130 |
| 72.95 | 1.297 | 156 |

Cell lengths 7.6733, 7.6733, 7.6733 Å; angles 146.49, 65.57, 125.44 degrees
Fractional coordinates of all 11 atoms:
Tl: 0.0000 0.0000 0.0000
Bi: 0.4234 0.0764 0.3469
Bi: 0.7295 0.0764 0.6531
Pd: 0.1368 0.2910 0.8458
Pd: 0.1714 0.5222 0.6493
Pd: 0.2994 0.7994 0.5000
Pd: 0.4451 0.2910 0.1542
Pd: 0.5850 0.5850 0.0000
Pd: 0.6057 0.8002 0.8056
Pd: 0.8729 0.5222 0.3507
Pd: 0.9946 0.8002 0.1944

=====

Computed X-ray powder pattern
Compound: Ba4SI5
Radiation: Cu Kα X-rays
Structure: a cell relaxed with GGA-PBE
No peak broadening, texture or thermal motion is included.

Top 10 peaks for 2θ from 10° to 90°, low angle first:
| Position (°2θ) | d/Å | intensity |
| --- | --- | --- |
| 14.49 | 6.113 | 100 |
| 22.96 | 3.873 | 126 |
| 25.65 | 3.473 | 111 |
| 25.89 | 3.442 | 521 |
| 26.21 | 3.400 | 1000 |
| 36.69 | 2.450 | 599 |
| 37.66 | 2.389 | 380 |
| 38.09 | 2.362 | 166 |
| 45.46 | 1.995 | 222 |
| 53.93 | 1.700 | 116 |

Cell lengths 10.9572, 10.9572, 9.4553 Å; angles 104.43, 104.43, 25.82 degrees
Fractional coordinates of all 10 atoms:
Ba: 0.0000 0.0000 0.2269
Ba: 0.0000 0.0000 0.7731
Ba: 0.3432 0.3432 0.9049
Ba: 0.6568 0.6568 0.0951
S: 0.5000 0.5000 0.0000
I: 0.1657 0.1657 0.3532
I: 0.1694 0.1694 0.8368
I: 0.5000 0.5000 0.5000
I: 0.8306 0.8306 0.1632
I: 0.8343 0.8343 0.6468

=====

Computed X-ray powder pattern
Compound: Pr6CdRh2I3
Radiation: Cu Kα X-rays
Structure: a cell relaxed with GGA-PBE
No peak broadening, texture or thermal motion is included.

Top 10 peaks for 2θ from 10° to 90°, low angle first:
| Position (°2θ) | d/Å | intensity |
| --- | --- | --- |
| 10.80 | 8.192 | 83 |
| 27.95 | 3.192 | 1000 |
| 30.05 | 2.974 | 98 |
| 35.08 | 2.558 | 80 |
| 37.92 | 2.373 | 306 |
| 41.89 | 2.157 | 344 |
| 51.11 | 1.787 | 173 |
| 54.20 | 1.692 | 76 |
| 57.77 | 1.596 | 84 |
| 68.15 | 1.376 | 119 |

Cell lengths 7.4694, 7.4694, 8.5641 Å; angles 98.38, 98.38, 119.98 degrees
Fractional coordinates of all 12 atoms:
Pr: 0.0698 0.4339 0.8046
Pr: 0.2003 0.2003 0.1930
Pr: 0.4339 0.0698 0.8046
Pr: 0.5661 0.9302 0.1954
Pr: 0.7997 0.7997 0.8070
Pr: 0.9302 0.5661 0.1954
Cd: 0.5000 0.5000 0.0000
Rh: 0.1674 0.8326 0.0000
Rh: 0.8326 0.1674 0.0000
I: 0.0000 0.0000 0.5000
I: 0.3386 0.6614 0.5000
I: 0.6614 0.3386 0.5000

=====

Computed X-ray powder pattern
Compound: Sm3Sb4Rh8
Radiation: Cu Kα X-rays
Structure: a cell relaxed with GGA-PBE
No peak broadening, texture or thermal motion is included.

Top 10 peaks for 2θ from 10° to 90°, low angle first:
| Position (°2θ) | d/Å | intensity |
| --- | --- | --- |
| 30.50 | 2.931 | 92 |
| 33.49 | 2.675 | 70 |
| 35.59 | 2.522 | 274 |
| 38.87 | 2.317 | 1000 |
| 40.73 | 2.216 | 75 |
| 41.33 | 2.185 | 72 |
| 56.14 | 1.638 | 94 |
| 68.26 | 1.374 | 87 |
| 70.38 | 1.338 | 230 |
| 83.43 | 1.159 | 88 |

Cell lengths 9.2682, 9.2682, 9.2682 Å; angles 60.00, 60.00, 60.00 degrees
Fractional coordinates of all 30 atoms:
Sm: 0.2277 0.2277 0.7723
Sm: 0.2277 0.7723 0.2277
Sm: 0.2277 0.7723 0.7723
Sm: 0.7723 0.2277 0.2277
Sm: 0.7723 0.2277 0.7723
Sm: 0.7723 0.7723 0.2277
Sb: 0.0000 0.0000 0.0000
Sb: 0.0000 0.0000 0.5000
Sb: 0.0000 0.5000 0.0000
Sb: 0.0000 0.5000 0.5000
Sb: 0.5000 0.0000 0.0000
Sb: 0.5000 0.0000 0.5000
Sb: 0.5000 0.5000 0.0000
Sb: 0.5000 0.5000 0.5000
Rh: 0.1365 0.6212 0.6212
Rh: 0.1667 0.1667 0.1667
Rh: 0.1667 0.1667 0.4998
Rh: 0.1667 0.4998 0.1667
Rh: 0.3788 0.3788 0.3788
Rh: 0.3788 0.3788 0.8635
Rh: 0.3788 0.8635 0.3788
Rh: 0.4998 0.1667 0.1667
Rh: 0.5002 0.8333 0.8333
Rh: 0.6212 0.1365 0.6212
Rh: 0.6212 0.6212 0.1365
Rh: 0.6212 0.6212 0.6212
Rh: 0.8333 0.5002 0.8333
Rh: 0.8333 0.8333 0.5002
Rh: 0.8333 0.8333 0.8333
Rh: 0.8635 0.3788 0.3788

=====

Computed X-ray powder pattern
Compound: Nb2SBr3
Radiation: Cu Kα X-rays
Structure: a cell relaxed with GGA-PBE
No peak broadening, texture or thermal motion is included.

Top 10 peaks for 2θ from 10° to 90°, low angle first:
| Position (°2θ) | d/Å | intensity |
| --- | --- | --- |
| 12.27 | 7.216 | 300 |
| 14.17 | 6.250 | 810 |
| 28.56 | 3.125 | 198 |
| 30.16 | 2.964 | 433 |
| 34.65 | 2.589 | 217 |
| 36.82 | 2.441 | 185 |
| 37.40 | 2.405 | 1000 |
| 41.67 | 2.168 | 196 |
| 51.04 | 1.789 | 270 |
| 53.06 | 1.726 | 191 |

Cell lengths 12.6944, 12.6944, 7.2597 Å; angles 96.25, 96.25, 15.63 degrees
Fractional coordinates of all 12 atoms:
Nb: 0.0774 0.0774 0.1441
Nb: 0.4016 0.4016 0.1590
Nb: 0.5984 0.5984 0.8410
Nb: 0.9226 0.9226 0.8559
S: 0.0290 0.0290 0.8362
S: 0.9710 0.9710 0.1638
Br: 0.1735 0.1735 0.7386
Br: 0.3408 0.3408 0.8402
Br: 0.4334 0.4334 0.5490
Br: 0.5666 0.5666 0.4510
Br: 0.6592 0.6592 0.1598
Br: 0.8265 0.8265 0.2614